# 1
Theoretical X-ray powder pattern of Ba2TiFeO6 for Cu Ka, from DFT lattice parameters and positions (PBE+U).

Main lines, in order of rising 2θ (10 to 80 degrees two-theta):
2θ/deg	I/Imax
21.77	14
25.95	39
30.92	64
31.04	100
38.23	16
40.89	29
44.38	40
55.18	44
64.71	20
73.43	11

Structural model:
a b c (Å): 5.7623 5.7623 14.1978
angles (deg): 90.00 90.00 120.00
Fractional coordinates of all 30 atoms:
Ba  0.0000  0.0000  0.0000
Ba  0.0000  0.0000  0.3149
Ba  0.3333  0.6667  0.1556
Ba  0.3333  0.6667  0.6606
Ba  0.6667  0.3333  0.4994
Ba  0.6667  0.3333  0.8170
Ti  0.0000  0.0000  0.5585
Ti  0.3333  0.6667  0.4029
Ti  0.3333  0.6667  0.9086
Fe  0.0000  0.0000  0.7536
Fe  0.6667  0.3333  0.0640
Fe  0.6667  0.3333  0.2551
O  0.0056  0.5028  0.9890
O  0.0080  0.5040  0.3314
O  0.1659  0.3318  0.4918
O  0.1659  0.8341  0.4918
O  0.1679  0.3358  0.8288
O  0.1679  0.8321  0.8288
O  0.2976  0.1488  0.6614
O  0.3647  0.1824  0.1566
O  0.4960  0.5040  0.3314
O  0.4960  0.9920  0.3314
O  0.4972  0.5028  0.9890
O  0.4972  0.9944  0.9890
O  0.6642  0.8321  0.8288
O  0.6682  0.8341  0.4918
O  0.8176  0.1824  0.1566
O  0.8176  0.6353  0.1566
O  0.8512  0.1488  0.6614
O  0.8512  0.7024  0.6614

---

# 2
Theoretical X-ray powder pattern of Li9Mn7O16 for Cu Ka, from DFT lattice parameters and positions (PBE+U).

Main lines, in order of rising 2θ (10 to 80 degrees two-theta):
2θ/deg	I/Imax
18.29	100
33.85	20
36.08	12
36.22	13
40.73	35
44.07	28
44.22	28
46.83	10
61.45	9
61.91	16

Structural model:
a b c (Å): 6.0753 6.5046 7.8146
angles (deg): 89.73 83.19 76.75
Fractional coordinates of all 32 atoms:
Li  0.0000  0.0000  0.0000
Li  0.1227  0.3686  0.1215
Li  0.1249  0.8766  0.6288
Li  0.3689  0.6313  0.8746
Li  0.3792  0.1232  0.3713
Li  0.6208  0.8768  0.6287
Li  0.6311  0.3687  0.1254
Li  0.8751  0.1234  0.3712
Li  0.8773  0.6314  0.8785
Mn  0.0000  0.5000  0.5000
Mn  0.2383  0.2495  0.7565
Mn  0.2539  0.7506  0.2439
Mn  0.5000  0.0000  0.0000
Mn  0.5000  0.5000  0.5000
Mn  0.7461  0.2494  0.7561
Mn  0.7617  0.7505  0.2435
O  0.0611  0.6930  0.0813
O  0.0720  0.1987  0.5637
O  0.1743  0.5490  0.6863
O  0.2260  0.0405  0.1705
O  0.3198  0.9554  0.8167
O  0.3255  0.4525  0.3165
O  0.4212  0.2960  0.9396
O  0.4456  0.7942  0.4247
O  0.5544  0.2058  0.5753
O  0.5788  0.7040  0.0604
O  0.6745  0.5475  0.6835
O  0.6802  0.0446  0.1833
O  0.7740  0.9595  0.8295
O  0.8257  0.4510  0.3137
O  0.9280  0.8013  0.4363
O  0.9389  0.3070  0.9187

---

Question: What is the formula in the first record?
Answer: Ba2TiFeO6

---

Question: Number 2 is which compound?
Answer: Li9Mn7O16